Entry 1:
The following is a calculated XRD peak list of Ga2HgO4. It was derived from a GGA-PBE-relaxed structure, using λ = 1.5418 Å (Cu Kα).

Structural model:
```
data_Ga2HgO4
_chemical_formula_sum 'Ga4 Hg2 O8'
_cell_length_a 6.248
_cell_length_b 6.248
_cell_length_c 6.248
_cell_angle_alpha 60.00
_cell_angle_beta 60.00
_cell_angle_gamma 60.00
_symmetry_space_group_name_H-M 'P 1'
_symmetry_Int_Tables_number 1
loop_
_symmetry_equiv_pos_as_xyz
'x,y,z'
loop_
_atom_site_label
_atom_site_type_symbol
_atom_site_fract_x
_atom_site_fract_y
_atom_site_fract_z
Ga1 Ga 0.000 0.000 0.000
Ga2 Ga 0.000 0.000 0.500
Ga3 Ga 0.000 0.500 0.000
Ga4 Ga 0.500 0.000 0.000
Hg1 Hg 0.375 0.375 0.375
Hg2 Hg 0.625 0.625 0.625
O1 O 0.189 0.770 0.770
O2 O 0.230 0.230 0.230
O3 O 0.230 0.230 0.811
O4 O 0.230 0.811 0.230
O5 O 0.770 0.189 0.770
O6 O 0.770 0.770 0.189
O7 O 0.770 0.770 0.770
O8 O 0.811 0.230 0.230
```

Main lines, in order of falling intensity (2θ from 10° to 90°):
| 2θ (°) | d_spacing | I (rel.) |
| --- | --- | --- |
| 33.64 | 2.664 | 100 |
| 28.57 | 3.124 | 72 |
| 53.92 | 1.701 | 40 |
| 59.15 | 1.562 | 33 |
| 50.61 | 1.804 | 28 |
| 84.16 | 1.150 | 22 |
| 81.52 | 1.181 | 16 |
| 69.79 | 1.348 | 13 |
| 66.98 | 1.397 | 12 |
| 17.38 | 5.102 | 10 |



Entry 2:
The following is a calculated XRD peak list of LiCuRu2Rh2O8. It was derived from a GGA-PBE-relaxed structure, using λ = 1.5418 Å (Cu Kα).

Structural model:
```
data_LiCuRu2Rh2O8
_chemical_formula_sum 'Li1 Cu1 Ru2 Rh2 O8'
_cell_length_a 6.146
_cell_length_b 6.146
_cell_length_c 6.146
_cell_angle_alpha 125.16
_cell_angle_beta 118.74
_cell_angle_gamma 86.75
_symmetry_space_group_name_H-M 'P 1'
_symmetry_Int_Tables_number 1
loop_
_symmetry_equiv_pos_as_xyz
'x,y,z'
loop_
_atom_site_label
_atom_site_type_symbol
_atom_site_fract_x
_atom_site_fract_y
_atom_site_fract_z
Li1 Li 0.000 0.000 0.000
Cu1 Cu 0.752 0.252 0.500
Ru1 Ru 0.370 0.093 0.723
Ru2 Ru 0.370 0.647 0.277
Rh1 Rh 0.372 0.619 0.753
Rh2 Rh 0.866 0.619 0.247
O1 O 0.102 0.851 0.251
O2 O 0.140 0.409 0.269
O3 O 0.140 0.870 0.731
O4 O 0.170 0.386 0.784
O5 O 0.598 0.359 0.761
O6 O 0.598 0.838 0.239
O7 O 0.600 0.851 0.749
O8 O 0.603 0.386 0.216
```

Main lines, in order of falling intensity (2θ from 10° to 90°):
| 2θ (°) | d_spacing | I (rel.) |
| --- | --- | --- |
| 17.29 | 5.128 | 100 |
| 18.56 | 4.782 | 85 |
| 34.23 | 2.619 | 80 |
| 60.52 | 1.530 | 70 |
| 36.25 | 2.478 | 64 |
| 43.08 | 2.100 | 62 |
| 34.99 | 2.564 | 50 |
| 34.01 | 2.636 | 41 |
| 40.38 | 2.234 | 38 |
| 33.31 | 2.690 | 36 |



Entry 3:
The following is a calculated XRD peak list of K2UTe3. It was derived from a GGA-PBE-relaxed structure, using λ = 1.5418 Å (Cu Kα).

Structural model:
```
data_K2UTe3
_chemical_formula_sum 'K4 U2 Te6'
_cell_length_a 8.084
_cell_length_b 8.084
_cell_length_c 8.675
_cell_angle_alpha 99.06
_cell_angle_beta 99.06
_cell_angle_gamma 120.03
_symmetry_space_group_name_H-M 'P 1'
_symmetry_Int_Tables_number 1
loop_
_symmetry_equiv_pos_as_xyz
'x,y,z'
loop_
_atom_site_label
_atom_site_type_symbol
_atom_site_fract_x
_atom_site_fract_y
_atom_site_fract_z
K1 K 0.000 0.000 0.000
K2 K 0.155 0.845 0.500
K3 K 0.500 0.500 0.500
K4 K 0.845 0.155 0.500
U1 U 0.332 0.668 0.000
U2 U 0.668 0.332 0.000
Te1 Te 0.073 0.445 0.213
Te2 Te 0.299 0.299 0.790
Te3 Te 0.445 0.073 0.213
Te4 Te 0.555 0.927 0.787
Te5 Te 0.701 0.701 0.210
Te6 Te 0.927 0.555 0.787
```

Main lines, in order of falling intensity (2θ from 10° to 90°):
| 2θ (°) | d_spacing | I (rel.) |
| --- | --- | --- |
| 26.36 | 3.382 | 100 |
| 10.75 | 8.233 | 44 |
| 38.59 | 2.333 | 35 |
| 36.58 | 2.457 | 24 |
| 47.31 | 1.921 | 14 |
| 13.16 | 6.726 | 13 |
| 36.72 | 2.447 | 12 |
| 33.76 | 2.655 | 12 |
| 40.17 | 2.245 | 11 |
| 14.52 | 6.100 | 10 |